The following is a theoretical XRD peak list of LiV4OF11. It was derived from DFT lattice parameters and positions (PBE+U), using Cu Ka.
Neutral-atom scattering factors, no anomalous dispersion.

Crystal structure
Cell lengths 5.266, 5.498, 17.424 Å; angles 88.28, 81.50, 61.90 degrees
Fractional positions:
Li 0.000 0.000 0.000
Li 0.253 0.867 0.623
V 0.050 0.038 0.821
V 0.053 0.550 0.320
V 0.303 0.389 0.950
V 0.307 0.923 0.444
V 0.536 0.814 0.069
V 0.577 0.297 0.572
V 0.802 0.652 0.692
V 0.804 0.179 0.196
O 0.310 0.102 0.009
O 0.706 0.518 0.612
F 0.227 0.964 0.163
F 0.232 0.760 0.355
F 0.237 0.441 0.658
F 0.239 0.243 0.855
F 0.266 0.732 0.887
F 0.280 0.241 0.385
F 0.316 0.626 0.512
F 0.342 0.602 0.033
F 0.353 0.897 0.725
F 0.378 0.070 0.540
F 0.380 0.380 0.232
F 0.727 0.713 0.409
F 0.752 0.019 0.100
F 0.754 0.188 0.918
F 0.773 0.492 0.134
F 0.810 0.364 0.765
F 0.826 0.861 0.257
F 0.833 0.963 0.634
F 0.868 0.639 0.984
F 0.874 0.339 0.287
F 0.876 0.829 0.784
F 0.883 0.131 0.480

Peak list (8 most intense, 10 to 80 degrees two-theta, sorted by position)
2theta  I/Imax  hkl
23.30  50  1 0 -2
23.49  100  1 1 3
32.62  19  0 1 5
39.49  12  1 0 -6
39.63  18  2 2 2
48.05  20  2 2 6
52.78  14  -1 1 7
53.06  20  1 2 8